Computed PXRD pattern
Compound: NbMo2W3
Radiation: Cu Kα X-rays
Structure: a DFT-relaxed cell (PBE, Alexandria)
Kinematic intensities with the Lorentz-polarization factor, no thermal factor.

Peak list (8 most intense, 10° ≤ 2θ ≤ 90°, in order of falling intensity)
- 2θ = 39.9°, I 100
- 2θ = 72.4°, I 28
- 2θ = 40.0°, I 20
- 2θ = 72.5°, I 14
- 2θ = 57.7°, I 13
- 2θ = 13.4°, I 11
- 2θ = 86.0°, I 11
- 2θ = 57.6°, I 7

a b c (Å): 6.9713 6.9713 6.9713
angles (deg): 142.25 92.96 99.07
Sites, in units of the cell vectors:
Nb (0.3746, 0.1246, 0.2500)
Nb (0.6254, 0.8754, 0.7500)
Mo (0.2040, 0.6232, 0.5807)
Mo (0.4575, 0.3768, 0.0807)
Mo (0.5425, 0.6232, 0.9193)
Mo (0.7960, 0.3768, 0.4193)
W (0.0443, 0.1269, 0.9173)
W (0.1245, 0.3745, 0.7500)
W (0.2904, 0.8731, 0.4173)
W (0.7096, 0.1269, 0.5827)
W (0.8755, 0.6255, 0.2500)
W (0.9557, 0.8731, 0.0827)